Diffraction record for KMgCd2Hg4. The X-ray powder pattern is simulated, not measured: it uses the PBE geometry in Alexandria and λ = 1.5418 Å (Cu Kα).
Kinematic intensities with the Lorentz-polarization factor, no thermal factor.

Largest 10 diffraction maxima, by intensity, 10° ≤ 2θ ≤ 80°:
Position (°2θ), intensity
36.15, 100
31.28, 79
23.72, 46
38.52, 46
48.53, 23
61.98, 22
66.58, 19
65.00, 18
25.29, 18
53.85, 18

Crystal structure
```
data_KMgCd2Hg4
_chemical_formula_sum 'K1 Mg1 Cd2 Hg4'
_symmetry_space_group_name_H-M 'P 1'
_symmetry_Int_Tables_number 1
_symmetry_space_group_name_Hall 'P 1'
_cell_length_a 10.6011
_cell_length_b 10.6011
_cell_length_c 10.6011
_cell_angle_alpha 27.11
_cell_angle_beta 27.11
_cell_angle_gamma 27.11
loop_
_atom_site_label
_atom_site_type_symbol
_atom_site_fract_x
_atom_site_fract_y
_atom_site_fract_z
K1 K 0.0000 0.0000 0.0000
Mg1 Mg 0.5000 0.5000 0.5000
Cd1 Cd 0.2383 0.2383 0.2383
Cd2 Cd 0.7617 0.7617 0.7617
Hg1 Hg 0.1330 0.1330 0.1330
Hg2 Hg 0.3971 0.3971 0.3971
Hg3 Hg 0.6029 0.6029 0.6029
Hg4 Hg 0.8670 0.8670 0.8670
```

=====

Diffraction record for TbTePb. The X-ray powder pattern is simulated, not measured: it uses the PBE geometry in Alexandria and λ = 1.5418 Å (Cu Kα).
Kinematic intensities with the Lorentz-polarization factor, no thermal factor.

Largest 10 diffraction maxima, by intensity, 10° ≤ 2θ ≤ 80°:
Position (°2θ), intensity
32.30, 100
30.08, 57
30.66, 37
34.89, 26
56.93, 26
23.06, 18
42.24, 17
45.51, 16
48.28, 16
55.87, 14

Crystal structure
```
data_TbTePb
_chemical_formula_sum 'Tb3 Te3 Pb3'
_symmetry_space_group_name_H-M 'P 1'
_symmetry_Int_Tables_number 1
_symmetry_space_group_name_Hall 'P 1'
_cell_length_a 8.9073
_cell_length_b 8.9073
_cell_length_c 3.9866
_cell_angle_alpha 90.00
_cell_angle_beta 90.00
_cell_angle_gamma 120.00
loop_
_atom_site_label
_atom_site_type_symbol
_atom_site_fract_x
_atom_site_fract_y
_atom_site_fract_z
Tb1 Tb 0.0000 0.0000 0.0000
Tb2 Tb 0.3333 0.6667 0.5000
Tb3 Tb 0.6667 0.3333 0.5000
Te1 Te 0.0000 0.7341 0.5000
Te2 Te 0.2659 0.2659 0.5000
Te3 Te 0.7341 0.0000 0.5000
Pb1 Pb 0.0000 0.4350 0.0000
Pb2 Pb 0.4350 0.0000 0.0000
Pb3 Pb 0.5650 0.5650 0.0000
```

=====

Diffraction record for Ti6O11. The X-ray powder pattern is simulated, not measured: it uses the PBE geometry in Alexandria and λ = 1.5418 Å (Cu Kα).
Kinematic intensities with the Lorentz-polarization factor, no thermal factor.

Largest 10 diffraction maxima, by intensity, 10° ≤ 2θ ≤ 80°:
Position (°2θ), intensity
25.30, 100
48.38, 37
21.04, 24
38.95, 20
27.04, 17
55.73, 16
31.83, 14
45.90, 13
36.45, 11
30.41, 11

Crystal structure
```
data_Ti6O11
_chemical_formula_sum 'Ti12 O22'
_symmetry_space_group_name_H-M 'P 1'
_symmetry_Int_Tables_number 1
_symmetry_space_group_name_Hall 'P 1'
_cell_length_a 5.3269
_cell_length_b 5.3269
_cell_length_c 21.1330
_cell_angle_alpha 92.52
_cell_angle_beta 92.52
_cell_angle_gamma 41.36
loop_
_atom_site_label
_atom_site_type_symbol
_atom_site_fract_x
_atom_site_fract_y
_atom_site_fract_z
Ti1 Ti 0.0285 0.0285 0.1464
Ti2 Ti 0.0534 0.0534 0.4393
Ti3 Ti 0.0914 0.0914 0.2957
Ti4 Ti 0.1388 0.1388 0.9750
Ti5 Ti 0.2186 0.2186 0.6085
Ti6 Ti 0.2406 0.2406 0.7981
Ti7 Ti 0.7594 0.7594 0.2019
Ti8 Ti 0.7814 0.7814 0.3915
Ti9 Ti 0.8612 0.8612 0.0250
Ti10 Ti 0.9086 0.9086 0.7043
Ti11 Ti 0.9466 0.9466 0.5607
Ti12 Ti 0.9715 0.9715 0.8536
O1 O 0.0481 0.0481 0.6478
O2 O 0.0489 0.0489 0.0562
O3 O 0.0576 0.0576 0.7680
O4 O 0.1309 0.1309 0.5283
O5 O 0.1600 0.1600 0.8797
O6 O 0.2086 0.2086 0.2096
O7 O 0.2316 0.2316 0.3779
O8 O 0.3222 0.3222 0.0200
O9 O 0.3409 0.3409 0.7076
O10 O 0.4059 0.4059 0.5697
O11 O 0.4246 0.4246 0.8459
O12 O 0.5754 0.5754 0.1541
O13 O 0.5941 0.5941 0.4303
O14 O 0.6591 0.6591 0.2924
O15 O 0.6778 0.6778 0.9800
O16 O 0.7684 0.7684 0.6221
O17 O 0.7914 0.7914 0.7904
O18 O 0.8400 0.8400 0.1203
O19 O 0.8691 0.8691 0.4717
O20 O 0.9424 0.9424 0.2320
O21 O 0.9511 0.9511 0.9438
O22 O 0.9519 0.9519 0.3522
```

=====

Diffraction record for KU4. The X-ray powder pattern is simulated, not measured: it uses the PBE geometry in Alexandria and λ = 1.5418 Å (Cu Kα).
Kinematic intensities with the Lorentz-polarization factor, no thermal factor.

Largest 8 diffraction maxima, by intensity, 10° ≤ 2θ ≤ 80°:
Position (°2θ), intensity
30.34, 100
35.17, 61
60.14, 46
50.60, 45
63.12, 16
74.36, 7
17.38, 1
24.67, 1

Crystal structure
```
data_KU4
_chemical_formula_sum 'K1 U4'
_symmetry_space_group_name_H-M 'P 1'
_symmetry_Int_Tables_number 1
_symmetry_space_group_name_Hall 'P 1'
_cell_length_a 5.1027
_cell_length_b 5.1027
_cell_length_c 5.1027
_cell_angle_alpha 90.00
_cell_angle_beta 90.00
_cell_angle_gamma 90.00
loop_
_atom_site_label
_atom_site_type_symbol
_atom_site_fract_x
_atom_site_fract_y
_atom_site_fract_z
K1 K 0.0000 0.0000 0.0000
U1 U 0.0000 0.0000 0.5000
U2 U 0.0000 0.5000 0.0000
U3 U 0.5000 0.0000 0.0000
U4 U 0.5000 0.5000 0.5000
```

=====

Diffraction record for CaTl2IrO6. The X-ray powder pattern is simulated, not measured: it uses the PBE geometry in Alexandria and λ = 1.5418 Å (Cu Kα).
Kinematic intensities with the Lorentz-polarization factor, no thermal factor.

Largest 10 diffraction maxima, by intensity, 10° ≤ 2θ ≤ 80°:
Position (°2θ), intensity
30.74, 100
30.88, 70
31.13, 33
54.62, 31
44.30, 28
55.05, 24
18.66, 24
43.97, 16
55.31, 15
54.71, 10

Crystal structure
```
data_CaTl2IrO6
_chemical_formula_sum 'Ca2 Tl4 Ir2 O12'
_symmetry_space_group_name_H-M 'P 1'
_symmetry_Int_Tables_number 1
_symmetry_space_group_name_Hall 'P 1'
_cell_length_a 5.7462
_cell_length_b 5.8222
_cell_length_c 10.0155
_cell_angle_alpha 90.00
_cell_angle_beta 124.67
_cell_angle_gamma 90.00
loop_
_atom_site_label
_atom_site_type_symbol
_atom_site_fract_x
_atom_site_fract_y
_atom_site_fract_z
Ca1 Ca 0.0000 0.0000 0.0000
Ca2 Ca 0.0000 0.5000 0.5000
Tl1 Tl 0.2244 0.0412 0.7392
Tl2 Tl 0.2244 0.4588 0.2392
Tl3 Tl 0.7756 0.5412 0.7608
Tl4 Tl 0.7756 0.9588 0.2608
Ir1 Ir 0.5000 0.0000 0.5000
Ir2 Ir 0.5000 0.5000 0.0000
O1 O 0.1719 0.1844 0.4475
O2 O 0.1719 0.3156 0.9475
O3 O 0.2501 0.7293 0.4252
O4 O 0.2501 0.7707 0.9252
O5 O 0.3941 0.0628 0.2780
O6 O 0.3941 0.4372 0.7780
O7 O 0.6059 0.5628 0.2220
O8 O 0.6059 0.9372 0.7220
O9 O 0.7499 0.2293 0.0748
O10 O 0.7499 0.2707 0.5748
O11 O 0.8281 0.6844 0.0525
O12 O 0.8281 0.8156 0.5525
```

=====

Diffraction record for Co2Ni3Ir2. The X-ray powder pattern is simulated, not measured: it uses the PBE geometry in Alexandria and λ = 1.5418 Å (Cu Kα).
Kinematic intensities with the Lorentz-polarization factor, no thermal factor.

Largest 10 diffraction maxima, by intensity, 10° ≤ 2θ ≤ 80°:
Position (°2θ), intensity
41.11, 100
47.37, 97
40.46, 87
34.98, 67
55.05, 57
50.85, 53
46.96, 51
19.69, 48
55.63, 48
41.82, 48

Crystal structure
```
data_Co2Ni3Ir2
_chemical_formula_sum 'Co2 Ni3 Ir2'
_symmetry_space_group_name_H-M 'P 1'
_symmetry_Int_Tables_number 1
_symmetry_space_group_name_Hall 'P 1'
_cell_length_a 2.5649
_cell_length_b 4.5087
_cell_length_c 7.5427
_cell_angle_alpha 90.00
_cell_angle_beta 90.00
_cell_angle_gamma 90.00
loop_
_atom_site_label
_atom_site_type_symbol
_atom_site_fract_x
_atom_site_fract_y
_atom_site_fract_z
Co1 Co 0.0000 0.0000 0.2298
Co2 Co 0.0000 0.0000 0.7702
Ni1 Ni 0.5000 0.0000 0.5000
Ni2 Ni 0.5000 0.2558 0.0000
Ni3 Ni 0.5000 0.7442 0.0000
Ir1 Ir 0.5000 0.5000 0.3213
Ir2 Ir 0.5000 0.5000 0.6787
```

=====

Diffraction record for Ce8Ir3I4Br. The X-ray powder pattern is simulated, not measured: it uses the PBE geometry in Alexandria and λ = 1.5418 Å (Cu Kα).
Kinematic intensities with the Lorentz-polarization factor, no thermal factor.

Largest 10 diffraction maxima, by intensity, 10° ≤ 2θ ≤ 80°:
Position (°2θ), intensity
28.76, 100
42.84, 37
39.34, 31
52.42, 18
11.29, 17
69.93, 15
36.33, 11
59.56, 9
76.12, 8
64.95, 8

Crystal structure
```
data_Ce8Ir3I4Br
_chemical_formula_sum 'Ce8 Ir3 I4 Br1'
_symmetry_space_group_name_H-M 'P 1'
_symmetry_Int_Tables_number 1
_symmetry_space_group_name_Hall 'P 1'
_cell_length_a 8.4437
_cell_length_b 8.4437
_cell_length_c 9.2295
_cell_angle_alpha 117.24
_cell_angle_beta 117.24
_cell_angle_gamma 59.99
loop_
_atom_site_label
_atom_site_type_symbol
_atom_site_fract_x
_atom_site_fract_y
_atom_site_fract_z
Ce1 Ce 0.2134 0.7426 0.6973
Ce2 Ce 0.2282 0.2282 0.6834
Ce3 Ce 0.2574 0.7866 0.3027
Ce4 Ce 0.2582 0.2582 0.3033
Ce5 Ce 0.7418 0.7418 0.6967
Ce6 Ce 0.7426 0.2134 0.6973
Ce7 Ce 0.7718 0.7718 0.3166
Ce8 Ce 0.7866 0.2574 0.3027
Ir1 Ir 0.0000 0.0000 0.5000
Ir2 Ir 0.0000 0.5000 0.5000
Ir3 Ir 0.5000 0.0000 0.5000
I1 I 0.0000 0.0000 0.0000
I2 I 0.0000 0.5000 0.0000
I3 I 0.5000 0.0000 0.0000
I4 I 0.5000 0.5000 0.0000
Br1 Br 0.5000 0.5000 0.5000
```

=====

Diffraction record for Sr8Ga2Au. The X-ray powder pattern is simulated, not measured: it uses the PBE geometry in Alexandria and λ = 1.5418 Å (Cu Kα).
Kinematic intensities with the Lorentz-polarization factor, no thermal factor.

Largest 10 diffraction maxima, by intensity, 10° ≤ 2θ ≤ 80°:
Position (°2θ), intensity
30.19, 100
26.81, 58
28.11, 54
31.48, 47
32.93, 45
33.97, 42
28.28, 41
27.41, 38
14.97, 36
34.64, 31

Crystal structure
```
data_Sr8Ga2Au
_chemical_formula_sum 'Sr8 Ga2 Au1'
_symmetry_space_group_name_H-M 'P 1'
_symmetry_Int_Tables_number 1
_symmetry_space_group_name_Hall 'P 1'
_cell_length_a 8.7404
_cell_length_b 8.7404
_cell_length_c 6.9323
_cell_angle_alpha 101.43
_cell_angle_beta 101.43
_cell_angle_gamma 111.45
loop_
_atom_site_label
_atom_site_type_symbol
_atom_site_fract_x
_atom_site_fract_y
_atom_site_fract_z
Sr1 Sr 0.0000 0.0000 0.0000
Sr2 Sr 0.0151 0.2825 0.5772
Sr3 Sr 0.1515 0.5568 0.1846
Sr4 Sr 0.2825 0.0151 0.5772
Sr5 Sr 0.4363 0.6987 0.7877
Sr6 Sr 0.5568 0.1515 0.1846
Sr7 Sr 0.6987 0.4363 0.7877
Sr8 Sr 0.7186 0.7186 0.3953
Ga1 Ga 0.0513 0.6793 0.7047
Ga2 Ga 0.6793 0.0513 0.7047
Au1 Au 0.3574 0.3574 0.4049
```